Diffraction record for SrNdMnO4. The X-ray powder pattern is theoretical, not measured: it uses a structure optimized by DFT (GGA+U) and λ = 1.5418 Å (Cu Kα).
Intensities are scaled so that the largest is 100.

Principal peaks in the range 10° ≤ 2θ ≤ 90°, sorted by position:
h k l  two_theta  d_spacing  I (rel.)
1 0 1  24.0  3.704  25
1 0 3  31.3  2.859  100
1 1 0  32.7  2.738  69
1 0 5  42.5  2.126  15
0 0 6  42.7  2.119  13
1 1 4  43.6  2.075  29
2 0 0  46.9  1.936  36
1 1 6  54.8  1.676  16
2 1 3  57.5  1.603  36
2 0 6  65.3  1.429  14

```
data_SrNdMnO4
_cell_length_a 3.872
_cell_length_b 3.872
_cell_length_c 12.716
_cell_angle_alpha 90.00
_cell_angle_beta 90.00
_cell_angle_gamma 90.00
_symmetry_space_group_name_H-M 'I 4 m m'
_symmetry_Int_Tables_number 107
_symmetry_space_group_name_Hall 'I 4 -2'
loop_
_atom_site_label
_atom_site_fract_x
_atom_site_fract_y
_atom_site_fract_z
_atom_site_occupancy
Sr1 0.000 0.000 0.000 1
Nd1 0.000 0.000 0.715 1
Mn1 0.000 0.000 0.358 1
O1 0.000 0.000 0.188 1
O2 0.000 0.000 0.532 1
O3 0.000 0.500 0.347 1
```